# 1
Theoretical powder diffraction line list of Dy2Te4O11 for Cu Kα (weighted mean of Kα1 and Kα2), from the GGA-PBE geometry in OQMD.
Lines closer than 0.1° are merged.

abc: 12.3348 5.0945 15.9216
angles: 90.00 106.54 90.00
Space group C2/c (No. 15)
One atom of each set of equivalent atoms:
Dy 0.1192 0.2467 0.0368 x8
Te 0.1231 0.2168 0.3701 x8
Te 0.1261 0.2232 0.7031 x8
O 0.0000 0.3648 0.7500 x4
O 0.0246 0.0801 0.5974 x8
O 0.0681 0.3913 0.4544 x8
O 0.1527 0.4358 0.1712 x8
O 0.2075 0.0456 0.9456 x8
O 0.2495 0.0623 0.6310 x8

Main lines, in order of falling intensity (2θ from 15° to 90°):
2θ (°), Rel. int., h k l
27.3, 100, 1 1 3
30.1, 70, 3 1 -3
30.2, 33, 4 0 0
49.9, 29, 6 0 -6
47.1, 23, 4 2 0
34.2, 21, 2 0 -6
35.2, 19, 0 2 0
50.2, 18, 5 1 3
42.5, 15, 2 0 6
55.5, 15, 1 1 -9



# 2
Theoretical powder diffraction line list of DyTmTeO2 for Cu Kα (weighted mean of Kα1 and Kα2), from the GGA-PBE geometry in OQMD.
Lines closer than 0.1° are merged.

abc: 3.8841 3.8841 12.3441
angles: 90.00 90.00 90.00
Space group I4mm (No. 107)
One atom of each set of equivalent atoms:
Dy 0.0000 0.0000 0.0000 x2
Tm 0.0000 0.0000 0.6745 x2
Te 0.0000 0.0000 0.3379 x2
O 0.0000 0.5000 0.0903 x4

Main lines, in order of falling intensity (2θ from 15° to 90°):
2θ (°), Rel. int., h k l
31.7, 100, 1 0 3
32.6, 40, 1 1 0
57.6, 37, 2 1 3
55.8, 22, 1 1 6
46.8, 19, 2 0 0
66.2, 11, 2 0 6
73.2, 9, 1 0 9
44.0, 9, 0 0 6
77.3, 8, 3 0 3
77.8, 7, 3 1 0



# 3
Theoretical powder diffraction line list of Pr2DyTm3Te2Os for Cu Kα (weighted mean of Kα1 and Kα2), from the GGA-PBE geometry in OQMD.
Lines closer than 0.1° are merged.

abc: 4.1002 14.5267 8.3453
angles: 90.00 90.00 90.00
Space group Amm2 (No. 38)
One atom of each set of equivalent atoms:
Pr 0.0000 0.2029 0.0000 x4
Dy 0.0000 0.0000 0.4160 x2
Tm 0.5000 0.0000 0.0212 x2
Tm 0.5000 0.1204 0.6861 x4
Te 0.5000 0.1603 0.3016 x4
Os 0.0000 0.0000 0.7722 x2

Main lines, in order of falling intensity (2θ from 15° to 90°):
2θ (°), Rel. int., h k l
30.5, 100, 1 3 1
33.0, 98, 1 4 0
32.7, 41, 0 4 2
39.5, 39, 1 4 2
56.0, 30, 2 1 3
44.2, 29, 2 0 0
32.8, 29, 0 1 3
60.0, 26, 1 7 3
37.3, 25, 0 3 3
39.6, 24, 1 1 3



# 4
Theoretical powder diffraction line list of Dy3Sc3Sb2Os for Cu Kα (weighted mean of Kα1 and Kα2), from the GGA-PBE geometry in OQMD.
Lines closer than 0.1° are merged.

abc: 7.8204 7.8204 4.1858
angles: 90.00 90.00 120.00
Space group P-62m (No. 189)
One atom of each set of equivalent atoms:
Dy 0.0000 0.6055 0.0000 x3
Sc 0.0000 0.2272 0.5000 x3
Sb 0.3333 0.6667 0.5000 x2
Os 0.0000 0.0000 0.0000 x1

Main lines, in order of falling intensity (2θ from 15° to 90°):
2θ (°), Rel. int., h k l
34.1, 100, 2 0 1
31.3, 88, 1 1 1
39.9, 49, 3 0 0
22.7, 44, 1 1 0
41.3, 43, 2 1 1
63.9, 34, 3 2 1
60.3, 29, 3 0 2
43.2, 27, 0 0 2
73.4, 26, 5 0 1
35.1, 24, 2 1 0



# 5
Theoretical powder diffraction line list of Dy2Y3TmSb2Os for Cu Kα (weighted mean of Kα1 and Kα2), from the GGA-PBE geometry in OQMD.
Lines closer than 0.1° are merged.

abc: 4.2128 14.1136 8.1939
angles: 90.00 90.00 90.00
Space group Amm2 (No. 38)
One atom of each set of equivalent atoms:
Dy 0.0000 0.1179 0.0000 x4
Y 0.5000 0.0000 0.7203 x2
Y 0.5000 0.1973 0.3159 x4
Tm 0.0000 0.0000 0.3538 x2
Sb 0.0000 0.1656 0.6169 x4
Os 0.5000 0.0000 0.1232 x2

Main lines, in order of falling intensity (2θ from 15° to 90°):
2θ (°), Rel. int., h k l
33.1, 100, 1 2 2
30.5, 84, 1 0 2
39.9, 64, 1 4 2
33.5, 43, 0 4 2
42.9, 31, 2 0 0
40.0, 30, 1 5 1
38.1, 27, 0 3 3
61.3, 26, 1 7 3
76.6, 20, 2 9 1
33.4, 20, 0 1 3



# 6
Theoretical powder diffraction line list of Dy2Te3Os for Cu Kα (weighted mean of Kα1 and Kα2), from the GGA-PBE geometry in OQMD.
Lines closer than 0.1° are merged.

abc: 7.9644 13.1192 4.0333
angles: 90.00 90.00 90.00
Space group Cmmm (No. 65)
One atom of each set of equivalent atoms:
Dy 0.0000 0.1710 0.0000 x4
Te 0.0000 0.0000 0.5000 x2
Te 0.2500 0.2500 0.5000 x4
Os 0.0000 0.5000 0.0000 x2

Main lines, in order of falling intensity (2θ from 15° to 90°):
2θ (°), Rel. int., h k l
32.2, 100, 1 3 1
31.6, 53, 2 0 1
23.2, 42, 1 3 0
45.9, 38, 3 3 1
47.4, 33, 2 6 0
26.2, 32, 2 2 0
34.5, 28, 2 2 1
22.3, 23, 2 0 0
67.4, 23, 2 6 2
44.9, 19, 0 0 2



# 7
Theoretical powder diffraction line list of DyPS4 for Cu Kα (weighted mean of Kα1 and Kα2), from the GGA-PBE geometry in OQMD.
Lines closer than 0.1° are merged.

abc: 10.7484 10.7484 19.0213
angles: 90.00 90.00 90.00
Space group I4_1/acd (No. 142, origin choice 2)
One atom of each set of equivalent atoms:
Dy 0.0000 0.2500 0.1250 x8
Dy 0.0000 0.2500 0.3750 x8
P 0.0379 0.0000 0.2500 x16
S 0.0661 0.0037 0.8399 x32
S 0.0871 0.1132 0.0030 x32

Main lines, in order of falling intensity (2θ from 15° to 90°):
2θ (°), Rel. int., h k l
16.5, 100, 2 0 0
25.0, 62, 2 0 4
30.1, 51, 2 2 4
42.1, 50, 4 2 4
38.5, 41, 4 0 4
37.4, 34, 4 2 0
41.5, 23, 2 0 8
33.3, 19, 4 0 0
57.6, 17, 6 2 4
54.3, 16, 4 2 8



# 8
Theoretical powder diffraction line list of Dy4PS3 for Cu Kα (weighted mean of Kα1 and Kα2), from the GGA-PBE geometry in OQMD.
Lines closer than 0.1° are merged.

abc: 5.5529 5.5529 5.5529
angles: 90.00 90.00 90.00
Space group Pm-3m (No. 221)
One atom of each set of equivalent atoms:
Dy 0.0000 0.0000 0.0000 x1
Dy 0.0000 0.5000 0.5000 x3
P 0.5000 0.5000 0.5000 x1
S 0.0000 0.0000 0.5000 x3

Main lines, in order of falling intensity (2θ from 15° to 90°):
2θ (°), Rel. int., h k l
32.2, 100, 2 0 0
27.8, 83, 1 1 1
46.2, 72, 2 2 0
54.8, 41, 3 1 1
76.8, 32, 4 2 0
57.5, 25, 2 2 2
85.7, 25, 4 2 2
74.5, 16, 3 3 1
67.5, 12, 4 0 0



# 9
Theoretical powder diffraction line list of DyPSe3S for Cu Kα (weighted mean of Kα1 and Kα2), from the GGA-PBE geometry in OQMD.
Lines closer than 0.1° are merged.

abc: 6.6825 6.8808 7.9885
angles: 88.46 87.52 80.94
Space group P-1 (No. 2)
One atom of each set of equivalent atoms:
Dy 0.2097 0.2004 0.0548 x2
P 0.3116 0.7603 0.8151 x2
Se 0.0771 0.0209 0.7546 x2
Se 0.1276 0.5164 0.7905 x2
Se 0.4152 0.2696 0.3481 x2
S 0.3880 0.7873 0.0620 x2

Main lines, in order of falling intensity (2θ from 15° to 90°):
2θ (°), Rel. int., h k l
27.6, 100, 1 1 2
17.3, 100, 0 1 -1
29.7, 93, 2 0 -1
35.9, 62, 1 0 3
20.2, 60, 1 -1 0
31.5, 60, 1 -2 0
30.2, 58, 1 2 -1
36.5, 54, 1 2 -2
34.3, 48, 0 2 2
48.2, 44, 1 0 -4



# 10
Theoretical powder diffraction line list of Dy3Sb2P for Cu Kα (weighted mean of Kα1 and Kα2), from the GGA-PBE geometry in OQMD.
Lines closer than 0.1° are merged.

abc: 4.2261 4.2261 10.5600
angles: 90.00 90.00 120.00
Space group P-3m1 (No. 164)
One atom of each set of equivalent atoms:
Dy 0.0000 0.0000 0.0000 x1
Dy 0.3333 0.6667 0.6452 x2
Sb 0.3333 0.6667 0.1757 x2
P 0.0000 0.0000 0.5000 x1

Main lines, in order of falling intensity (2θ from 15° to 90°):
2θ (°), Rel. int., h k l
29.7, 100, 0 1 2
42.8, 40, 1 1 0
42.2, 33, 1 0 4
53.0, 20, 2 0 2
70.4, 17, 1 2 2
25.8, 15, 1 0 1
69.5, 13, 1 1 6
78.0, 11, 2 1 4
61.7, 11, 0 2 4
35.4, 7, 1 0 3



# 11
Theoretical powder diffraction line list of DySc3P for Cu Kα (weighted mean of Kα1 and Kα2), from the GGA-PBE geometry in OQMD.
Lines closer than 0.1° are merged.

abc: 7.1226 7.1226 10.0780
angles: 90.00 90.00 90.00
Space group I4/mcm (No. 140)
One atom of each set of equivalent atoms:
Dy 0.0000 0.5000 0.2500 x4
Sc 0.0000 0.0000 0.2500 x4
Sc 0.2436 0.2564 0.0000 x8
P 0.0000 0.0000 0.0000 x4

Main lines, in order of falling intensity (2θ from 15° to 90°):
2θ (°), Rel. int., h k l
30.7, 100, 2 0 2
25.0, 77, 2 0 0
35.6, 76, 0 0 4
51.3, 51, 2 2 4
61.0, 39, 2 0 6
44.0, 35, 3 1 2
17.6, 26, 1 1 0
86.4, 22, 2 2 8
69.9, 18, 4 2 4
64.0, 17, 4 0 4



# 12
Theoretical powder diffraction line list of DyTePSe3 for Cu Kα (weighted mean of Kα1 and Kα2), from the GGA-PBE geometry in OQMD.
Lines closer than 0.1° are merged.

abc: 6.9682 7.1123 8.1516
angles: 86.68 86.52 79.92
Space group P-1 (No. 2)
One atom of each set of equivalent atoms:
Dy 0.2085 0.2086 0.0618 x2
Te 0.0735 0.0399 0.7423 x2
P 0.3209 0.7585 0.8178 x2
Se 0.1382 0.5267 0.8010 x2
Se 0.3943 0.7841 0.0792 x2
Se 0.4086 0.2825 0.3392 x2

Main lines, in order of falling intensity (2θ from 15° to 90°):
2θ (°), Rel. int., h k l
26.4, 100, 1 1 2
28.8, 79, 2 0 -1
30.6, 54, 1 -2 0
19.6, 51, 1 -1 0
35.9, 50, 1 2 -2
35.0, 47, 1 0 3
29.5, 46, 1 2 -1
29.9, 44, 2 1 -1
33.0, 41, 0 2 2
36.2, 40, 2 1 -2